Structure and simulated powder diffractogram of Cs2Sm2SbO6 (a GGA-PBE-relaxed structure; CuKα).

Peak list (10 most intense, 10° ≤ 2θ ≤ 80°, low angle first)
Position (°2θ)  I_rel
12.53  47
25.21  77
30.20  41
30.52  85
33.74  100
34.04  50
44.82  18
45.52  37
51.71  40
52.32  26

```
Cs2Sm2SbO6
1.0
3.067 -5.284 0.000
3.067 5.284 0.000
-1.921 0.000 7.065
Cs Sm Sb O
2 2 1 6
direct
0.166 0.834 0.000 Cs
0.834 0.166 0.000 Cs
0.335 0.665 0.500 Sm
0.665 0.335 0.500 Sm
0.000 0.000 0.500 Sb
0.046 0.362 0.657 O
0.257 0.257 0.342 O
0.362 0.046 0.657 O
0.638 0.954 0.343 O
0.743 0.743 0.658 O
0.954 0.638 0.343 O
```

=====

Structure and simulated powder diffractogram of BaHfAg2Te4 (a GGA-PBE-relaxed structure; CuKα).

Peak list (10 most intense, 10° ≤ 2θ ≤ 80°, low angle first)
Position (°2θ)  I_rel
14.29  41
25.33  100
26.25  30
28.81  27
31.39  24
32.40  74
38.52  18
39.58  30
42.93  35
43.47  25

```
BaHfAg2Te4
1.0
7.305 0.000 0.000
0.000 8.452 0.000
0.000 0.000 9.115
Ba Hf Ag Te
2 2 4 8
direct
0.000 0.000 0.000 Ba
0.500 0.500 0.500 Ba
0.000 0.000 0.500 Hf
0.500 0.500 0.000 Hf
0.000 0.500 0.158 Ag
0.000 0.500 0.842 Ag
0.500 0.000 0.342 Ag
0.500 0.000 0.658 Ag
0.205 0.196 0.323 Te
0.205 0.804 0.677 Te
0.295 0.304 0.823 Te
0.295 0.696 0.177 Te
0.705 0.304 0.177 Te
0.705 0.696 0.823 Te
0.795 0.196 0.677 Te
0.795 0.804 0.323 Te
```

=====

Structure and simulated powder diffractogram of Tl4CdIn2Bi2 (a GGA-PBE-relaxed structure; CuKα).

Peak list (10 most intense, 10° ≤ 2θ ≤ 80°, low angle first)
Position (°2θ)  I_rel
27.38  56
28.60  73
29.32  90
29.89  48
32.12  48
33.75  69
35.11  100
36.82  46
36.94  47
37.93  58

```
Tl4CdIn2Bi2
1.0
6.444 0.000 0.000
1.632 6.574 0.000
1.872 1.157 6.695
Tl Cd In Bi
4 1 2 2
direct
0.178 0.193 0.366 Tl
0.288 0.091 0.839 Tl
0.712 0.909 0.161 Tl
0.822 0.807 0.634 Tl
0.000 0.500 0.000 Cd
0.359 0.660 0.674 In
0.641 0.340 0.326 In
0.255 0.713 0.244 Bi
0.745 0.287 0.756 Bi
```

=====

Structure and simulated powder diffractogram of Nd8Sn5Ge (a GGA-PBE-relaxed structure; CuKα).

Peak list (10 most intense, 10° ≤ 2θ ≤ 80°, low angle first)
Position (°2θ)  I_rel
29.50  48
29.64  100
35.14  65
35.22  29
44.51  14
46.65  17
48.67  26
59.79  25
63.06  14
72.92  15

```
Nd8Sn5Ge
1.0
-4.765 4.765 4.790
4.765 -4.765 4.790
4.765 4.765 -4.790
Nd Sn Ge
8 5 1
direct
0.128 0.376 0.109 Nd
0.136 0.378 0.623 Nd
0.267 0.019 0.891 Nd
0.486 0.864 0.242 Nd
0.622 0.244 0.758 Nd
0.624 0.733 0.752 Nd
0.756 0.514 0.377 Nd
0.981 0.872 0.248 Nd
0.250 0.750 0.500 Sn
0.374 0.246 0.373 Sn
0.754 0.127 0.128 Sn
0.873 0.001 0.627 Sn
0.999 0.626 0.872 Sn
0.500 0.500 0.000 Ge
```

=====

Structure and simulated powder diffractogram of Pr2Ga6Ni3 (a GGA-PBE-relaxed structure; CuKα).

Peak list (10 most intense, 10° ≤ 2θ ≤ 80°, low angle first)
Position (°2θ)  I_rel
27.40  10
32.17  100
35.08  13
36.51  20
41.61  40
42.75  45
43.76  25
53.55  15
61.98  24
70.02  28

```
Pr2Ga6Ni3
1.0
7.518 0.000 0.000
-3.759 6.511 0.000
0.000 0.000 4.137
Pr Ga Ni
2 6 3
direct
0.333 0.667 0.000 Pr
0.667 0.333 0.000 Pr
0.000 0.309 0.500 Ga
0.000 0.800 0.000 Ga
0.200 0.200 0.000 Ga
0.309 0.000 0.500 Ga
0.691 0.691 0.500 Ga
0.800 0.000 0.000 Ga
0.000 0.637 0.500 Ni
0.363 0.363 0.500 Ni
0.637 0.000 0.500 Ni
```

=====

Structure and simulated powder diffractogram of PrErAu (a GGA-PBE-relaxed structure; CuKα).

Peak list (10 most intense, 10° ≤ 2θ ≤ 80°, low angle first)
Position (°2θ)  I_rel
29.82  16
31.44  100
32.00  59
32.42  32
33.02  44
37.66  17
39.54  29
40.58  14
52.15  17
56.07  12

```
PrErAu
1.0
7.130 0.000 0.000
0.000 6.682 0.000
-0.930 0.000 7.273
Pr Er Au
4 4 4
direct
0.184 0.167 0.489 Pr
0.184 0.333 0.989 Pr
0.816 0.667 0.011 Pr
0.816 0.833 0.511 Pr
0.391 0.661 0.671 Er
0.391 0.839 0.171 Er
0.609 0.161 0.829 Er
0.609 0.339 0.329 Er
0.133 0.592 0.342 Au
0.133 0.908 0.842 Au
0.867 0.092 0.158 Au
0.867 0.408 0.658 Au
```